Record 1
Structure and theoretical XRD peak list of NiAg4F7 (DFT lattice parameters and positions (GGA+U); Cu Kα).
Peak positions follow from Bragg's law for the DFT cell and can differ from measured ones.

Largest 12 diffraction maxima, by intensity, 2θ from 5° to 70°:
- 30.69°, d = 2.913 Å, rel. 1000
- 50.62°, d = 1.803 Å, rel. 607
- 35.26°, d = 2.545 Å, rel. 603
- 26.48°, d = 3.366 Å, rel. 576
- 38.09°, d = 2.363 Å, rel. 574
- 31.70°, d = 2.822 Å, rel. 570
- 24.68°, d = 3.608 Å, rel. 559
- 47.76°, d = 1.904 Å, rel. 512
- 28.68°, d = 3.113 Å, rel. 422
- 27.22°, d = 3.277 Å, rel. 387
- 24.19°, d = 3.680 Å, rel. 329
- 30.01°, d = 2.977 Å, rel. 260

Atomic structure:
```
NiAg4F7
1.0
7.478 -1.904 0.000
7.478 1.904 0.000
-1.955 0.000 6.553
Ni Ag F
1 4 7
direct
0.000 0.000 0.000 Ni
0.291 0.291 0.770 Ag
0.428 0.428 0.315 Ag
0.572 0.572 0.685 Ag
0.709 0.709 0.230 Ag
0.017 0.017 0.304 F
0.144 0.144 0.042 F
0.289 0.289 0.378 F
0.500 0.500 0.000 F
0.711 0.711 0.622 F
0.856 0.856 0.958 F
0.983 0.983 0.696 F
```

Record 2
Structure and theoretical XRD peak list of Y2V3O9 (DFT lattice parameters and positions (GGA+U); Cu Kα).
Peak positions follow from Bragg's law for the DFT cell and can differ from measured ones.

Largest 12 diffraction maxima, by intensity, 2θ from 5° to 70°:
- 33.21°, d = 2.698 Å, rel. 1000
- 15.85°, d = 5.593 Å, rel. 321
- 47.94°, d = 1.898 Å, rel. 319
- 21.11°, d = 4.209 Å, rel. 299
- 60.19°, d = 1.537 Å, rel. 239
- 33.88°, d = 2.646 Å, rel. 239
- 32.89°, d = 2.724 Å, rel. 221
- 58.91°, d = 1.568 Å, rel. 213
- 47.40°, d = 1.918 Å, rel. 206
- 69.71°, d = 1.349 Å, rel. 142
- 17.62°, d = 5.034 Å, rel. 135
- 59.53°, d = 1.553 Å, rel. 116

Atomic structure:
```
Y2V3O9
1.0
5.291 0.000 0.000
0.000 7.671 0.000
0.000 0.000 16.341
Y V O
8 12 36
direct
0.013 0.003 0.266 Y
0.015 0.997 0.939 Y
0.485 0.003 0.439 Y
0.487 0.997 0.766 Y
0.513 0.497 0.734 Y
0.515 0.503 0.061 Y
0.985 0.497 0.561 Y
0.987 0.503 0.234 Y
0.006 0.748 0.417 V
0.009 0.732 0.750 V
0.013 0.759 0.086 V
0.487 0.241 0.586 V
0.491 0.268 0.250 V
0.494 0.252 0.917 V
0.506 0.752 0.583 V
0.509 0.768 0.250 V
0.513 0.741 0.914 V
0.987 0.259 0.414 V
0.991 0.232 0.750 V
0.994 0.248 0.083 V
0.062 0.501 0.418 O
0.079 0.502 0.761 O
0.106 0.498 0.097 O
0.186 0.222 0.186 O
0.188 0.780 0.189 O
0.204 0.182 0.846 O
0.212 0.789 0.507 O
0.214 0.815 0.847 O
0.232 0.223 0.512 O
0.268 0.777 0.012 O
0.286 0.185 0.347 O
0.288 0.211 0.007 O
0.296 0.818 0.346 O
0.312 0.220 0.689 O
0.314 0.778 0.686 O
0.394 0.502 0.597 O
0.421 0.498 0.261 O
0.438 0.499 0.918 O
0.562 0.999 0.582 O
0.579 0.998 0.239 O
0.606 0.002 0.903 O
0.686 0.278 0.814 O
0.688 0.720 0.811 O
0.704 0.318 0.154 O
0.712 0.711 0.493 O
0.714 0.685 0.153 O
0.732 0.277 0.488 O
0.768 0.723 0.988 O
0.786 0.315 0.653 O
0.788 0.289 0.993 O
0.796 0.682 0.654 O
0.812 0.280 0.311 O
0.814 0.722 0.314 O
0.894 0.998 0.403 O
0.921 0.002 0.739 O
0.938 0.001 0.082 O
```